Diffraction record for PuFe2PbO8. The powder XRD pattern is simulated, not measured: it uses a structure optimized by DFT (PBE+U) and Cu Kα (weighted mean of Kα1 and Kα2).

Structure:
```
PuFe2PbO8
1.0
5.448 0.000 0.000
-2.724 4.718 0.000
0.000 0.000 7.335
Pu Fe Pb O
1 2 1 8
Cartesian
0.000 0.000 0.000
0.000 3.145 1.874
2.724 1.573 5.461
0.000 0.000 3.667
-0.586 1.466 1.253
-1.161 4.492 1.253
0.977 1.240 6.082
0.000 3.145 3.658
2.724 1.573 3.677
1.747 3.478 1.253
3.885 0.226 6.082
3.310 3.252 6.082
```

Largest 10 diffraction maxima, in order of rising 2θ, 2θ from 15° to 90°:
Position (°2θ)  I_rel  hkl
18.8  100  1 0 0
22.4  17  0 1 1
30.9  96  0 1 2
32.9  55  1 1 0
41.3  29  2 -1 2
45.7  37  0 2 2
51.2  14  1 2 0
57.5  36  3 -2 2
60.9  23  1 1 4
77.4  15  3 1 2